Structure and computed PXRD pattern of H4AuBr3N (DFT lattice parameters and positions (GGA-PBE); Cu Kα (λ = 1.5418 Å)).
Neutral-atom scattering factors, no anomalous dispersion.

Cell and atoms:
```
data_H4AuBr3N
_chemical_formula_sum 'H8 Au2 Br6 N2'
_symmetry_space_group_name_H-M 'P 1 21 1'
_symmetry_Int_Tables_number 4
_cell_length_a 5.3995
_cell_length_b 7.1392
_cell_length_c 9.7575
_cell_angle_alpha 90.00
_cell_angle_beta 105.15
_cell_angle_gamma 90.00
loop_
_symmetry_equiv_pos_as_xyz
'x,y,z'
'-x,y+1/2,-z'
loop_
_atom_site_label
_atom_site_type_symbol
_atom_site_fract_x
_atom_site_fract_y
_atom_site_fract_z
_atom_site_occupancy
H1 H 0.0607 0.0000 0.2945 1
H2 H 0.1216 0.6947 0.7596 1
H3 H 0.1734 0.4962 0.8594 1
H4 H 0.2516 0.5012 0.7029 1
Au1 Au 0.3831 0.5632 0.2516 1
Br1 Br 0.1096 0.0427 0.7329 1
Br2 Br 0.2997 0.3049 0.0770 1
Br3 Br 0.4577 0.8422 0.4100 1
N1 N 0.1212 0.5494 0.7567 1
```

Top 10 peaks for 10 to 80 degrees two-theta, sorted by position:
Position (°2θ)  Rel. int.
15.58  100.0
17.01  20.0
17.16  15.6
18.84  25.3
24.93  18.6
31.12  24.7
31.44  48.2
33.19  30.1
39.04  14.7
46.16  27.5